Record 1
Theoretical PXRD pattern of PtF6 for Cu Kα (λ = 1.5418 Å), from DFT lattice parameters and positions (PBE).

Largest 8 diffraction maxima, by angle, 15° ≤ 2θ ≤ 90°:
2θ 22.33, I = 42.7
2θ 22.80, I = 85.2
2θ 23.91, I = 100.0
2θ 25.12, I = 66.8
2θ 32.13, I = 36.8
2θ 40.73, I = 26.8
2θ 48.94, I = 24.3
2θ 51.92, I = 27.7

Structural model:
```
data_PtF6
_chemical_formula_sum 'Pt4 F24'
_space_group_name_H-M_alt 'P 1'
_space_group_IT_number 1
_space_group_name_Hall 'P 1'
_cell_length_a 7.799
_cell_length_b 8.471
_cell_length_c 4.510
_cell_angle_alpha 90.00
_cell_angle_beta 90.00
_cell_angle_gamma 90.00
loop_
_atom_site_label
_atom_site_fract_x
_atom_site_fract_y
_atom_site_fract_z
Pt1 0.000 0.124 0.000
Pt2 0.000 0.625 0.670
Pt3 0.500 0.375 0.170
Pt4 0.500 0.876 0.500
F1 0.000 0.252 0.341
F2 0.000 0.498 0.013
F3 0.000 0.752 0.328
F4 0.000 0.995 0.659
F5 0.170 0.253 0.830
F6 0.170 0.496 0.502
F7 0.170 0.753 0.841
F8 0.170 0.995 0.169
F9 0.330 0.005 0.669
F10 0.330 0.247 0.341
F11 0.330 0.504 0.002
F12 0.330 0.747 0.330
F13 0.500 0.005 0.159
F14 0.500 0.248 0.828
F15 0.500 0.502 0.513
F16 0.500 0.748 0.841
F17 0.670 0.005 0.669
F18 0.670 0.247 0.341
F19 0.670 0.504 0.002
F20 0.670 0.747 0.330
F21 0.830 0.253 0.830
F22 0.830 0.496 0.502
F23 0.830 0.753 0.841
F24 0.830 0.995 0.169
```

=====

Record 2
Theoretical PXRD pattern of PtF6 for Cu Kα (λ = 1.5418 Å), from DFT lattice parameters and positions (PBE).

Largest 8 diffraction maxima, by angle, 15° ≤ 2θ ≤ 90°:
2θ 21.37, I = 100.0
2θ 30.41, I = 32.4
2θ 37.47, I = 21.8
2θ 43.54, I = 13.2
2θ 48.99, I = 35.2
2θ 58.76, I = 23.9
2θ 67.60, I = 14.6
2θ 83.91, I = 14.7

Structural model:
```
data_PtF6
_chemical_formula_sum 'Pt2 F12'
_space_group_name_H-M_alt 'P 1'
_space_group_IT_number 1
_space_group_name_Hall 'P 1'
_cell_length_a 5.880
_cell_length_b 5.880
_cell_length_c 5.880
_cell_angle_alpha 90.00
_cell_angle_beta 90.00
_cell_angle_gamma 90.00
loop_
_atom_site_label
_atom_site_fract_x
_atom_site_fract_y
_atom_site_fract_z
Pt1 0.000 0.000 0.000
Pt2 0.500 0.500 0.500
F1 0.000 0.000 0.319
F2 0.000 0.000 0.681
F3 0.000 0.319 0.000
F4 0.000 0.681 0.000
F5 0.181 0.500 0.500
F6 0.319 0.000 0.000
F7 0.500 0.181 0.500
F8 0.500 0.500 0.181
F9 0.500 0.500 0.819
F10 0.500 0.819 0.500
F11 0.681 0.000 0.000
F12 0.819 0.500 0.500
```

=====

Record 3
Theoretical PXRD pattern of PtS2F6 for Cu Kα (λ = 1.5418 Å), from DFT lattice parameters and positions (PBE).

Largest 8 diffraction maxima, by angle, 15° ≤ 2θ ≤ 90°:
2θ 18.74, I = 73.2
2θ 20.82, I = 100.0
2θ 25.65, I = 62.4
2θ 28.55, I = 48.9
2θ 36.70, I = 44.6
2θ 37.74, I = 40.7
2θ 43.00, I = 37.0
2θ 46.95, I = 29.7

Structural model:
```
data_PtS2F6
_chemical_formula_sum 'Pt1 S2 F6'
_space_group_name_H-M_alt 'P 1'
_space_group_IT_number 1
_space_group_name_Hall 'P 1'
_cell_length_a 3.861
_cell_length_b 4.842
_cell_length_c 6.774
_cell_angle_alpha 100.85
_cell_angle_beta 94.97
_cell_angle_gamma 94.39
loop_
_atom_site_label
_atom_site_fract_x
_atom_site_fract_y
_atom_site_fract_z
Pt1 0.000 0.000 0.000
S1 0.369 0.294 0.239
S2 0.631 0.706 0.761
F1 0.141 0.565 0.283
F2 0.288 0.194 0.443
F3 0.322 0.074 0.797
F4 0.678 0.926 0.203
F5 0.712 0.806 0.557
F6 0.859 0.435 0.717
```

=====

Record 4
Theoretical PXRD pattern of Sn2Te2PtF2 for Cu Kα (λ = 1.5418 Å), from DFT lattice parameters and positions (PBE).

Largest 8 diffraction maxima, by angle, 15° ≤ 2θ ≤ 90°:
2θ 23.94, I = 27.6
2θ 29.03, I = 100.0
2θ 36.73, I = 57.1
2θ 44.26, I = 31.9
2θ 44.89, I = 37.0
2θ 49.96, I = 22.6
2θ 54.35, I = 35.2
2θ 64.87, I = 20.6

Structural model:
```
data_Sn2Te2PtF2
_chemical_formula_sum 'Sn2 Te2 Pt1 F2'
_space_group_name_H-M_alt 'P 1'
_space_group_IT_number 1
_space_group_name_Hall 'P 1'
_cell_length_a 4.039
_cell_length_b 4.039
_cell_length_c 9.494
_cell_angle_alpha 90.00
_cell_angle_beta 90.00
_cell_angle_gamma 90.00
loop_
_atom_site_label
_atom_site_fract_x
_atom_site_fract_y
_atom_site_fract_z
Sn1 0.000 0.500 0.160
Sn2 0.500 0.000 0.840
Te1 0.000 0.500 0.674
Te2 0.500 0.000 0.326
Pt1 0.000 0.000 0.500
F1 0.000 0.000 0.000
F2 0.500 0.500 0.000
```

=====

Record 5
Theoretical PXRD pattern of Tm2Pt3F3 for Cu Kα (λ = 1.5418 Å), from DFT lattice parameters and positions (PBE).

Largest 8 diffraction maxima, by angle, 15° ≤ 2θ ≤ 90°:
2θ 25.12, I = 53.2
2θ 29.06, I = 20.8
2θ 33.59, I = 29.0
2θ 37.82, I = 100.0
2θ 42.46, I = 19.7
2θ 48.44, I = 32.5
2θ 60.24, I = 21.6
2θ 83.30, I = 21.6

Structural model:
```
data_Tm2Pt3F3
_chemical_formula_sum 'Tm2 Pt3 F3'
_space_group_name_H-M_alt 'P 1'
_space_group_IT_number 1
_space_group_name_Hall 'P 1'
_cell_length_a 3.758
_cell_length_b 3.758
_cell_length_c 10.673
_cell_angle_alpha 90.00
_cell_angle_beta 90.00
_cell_angle_gamma 90.00
loop_
_atom_site_label
_atom_site_fract_x
_atom_site_fract_y
_atom_site_fract_z
Tm1 0.000 0.500 0.206
Tm2 0.500 0.000 0.794
Pt1 0.000 0.000 0.000
Pt2 0.500 0.500 0.000
Pt3 0.500 0.500 0.500
F1 0.000 0.000 0.282
F2 0.000 0.000 0.500
F3 0.000 0.000 0.718
```

=====

Record 6
Theoretical PXRD pattern of PtXeF11 for Cu Kα (λ = 1.5418 Å), from DFT lattice parameters and positions (PBE).

Largest 8 diffraction maxima, by angle, 15° ≤ 2θ ≤ 90°:
2θ 20.26, I = 85.9
2θ 23.48, I = 100.0
2θ 23.62, I = 66.6
2θ 25.33, I = 67.1
2θ 30.60, I = 23.4
2θ 31.31, I = 44.9
2θ 35.95, I = 30.9
2θ 42.98, I = 23.3

Structural model:
```
data_PtXeF11
_chemical_formula_sum 'Pt4 Xe4 F44'
_space_group_name_H-M_alt 'P 1'
_space_group_IT_number 1
_space_group_name_Hall 'P 1'
_cell_length_a 15.900
_cell_length_b 7.535
_cell_length_c 5.253
_cell_angle_alpha 90.00
_cell_angle_beta 90.00
_cell_angle_gamma 90.00
loop_
_atom_site_label
_atom_site_fract_x
_atom_site_fract_y
_atom_site_fract_z
Pt1 0.047 0.250 0.211
Pt2 0.453 0.750 0.711
Pt3 0.547 0.250 0.289
Pt4 0.953 0.750 0.789
Xe1 0.153 0.750 0.307
Xe2 0.347 0.250 0.807
Xe3 0.653 0.750 0.193
Xe4 0.847 0.250 0.693
F1 0.003 0.750 0.458
F2 0.042 0.503 0.212
F3 0.042 0.997 0.212
F4 0.068 0.750 0.915
F5 0.093 0.250 0.881
F6 0.150 0.568 0.580
F7 0.150 0.932 0.580
F8 0.156 0.250 0.357
F9 0.198 0.570 0.069
F10 0.198 0.930 0.069
F11 0.228 0.250 0.903
F12 0.272 0.750 0.403
F13 0.302 0.070 0.569
F14 0.302 0.430 0.569
F15 0.344 0.750 0.857
F16 0.350 0.068 0.080
F17 0.350 0.432 0.080
F18 0.407 0.750 0.381
F19 0.432 0.250 0.415
F20 0.458 0.003 0.712
F21 0.458 0.497 0.712
F22 0.497 0.250 0.958
F23 0.503 0.750 0.042
F24 0.542 0.503 0.288
F25 0.542 0.997 0.288
F26 0.568 0.750 0.585
F27 0.593 0.250 0.619
F28 0.650 0.568 0.920
F29 0.650 0.932 0.920
F30 0.656 0.250 0.143
F31 0.698 0.570 0.431
F32 0.698 0.930 0.431
F33 0.728 0.250 0.597
F34 0.772 0.750 0.097
F35 0.802 0.070 0.931
F36 0.802 0.430 0.931
F37 0.844 0.750 0.643
F38 0.850 0.068 0.420
F39 0.850 0.432 0.420
F40 0.907 0.750 0.119
F41 0.932 0.250 0.085
F42 0.958 0.003 0.788
F43 0.958 0.497 0.788
F44 0.997 0.250 0.542
```

=====

Record 7
Theoretical PXRD pattern of PuF3 for Cu Kα (λ = 1.5418 Å), from DFT lattice parameters and positions (PBE).

Largest 8 diffraction maxima, by angle, 15° ≤ 2θ ≤ 90°:
2θ 17.20, I = 66.6
2θ 29.94, I = 100.0
2θ 30.04, I = 35.1
2θ 34.81, I = 11.7
2θ 42.91, I = 47.2
2θ 53.26, I = 55.4
2θ 59.26, I = 17.0
2θ 70.73, I = 13.0

Structural model:
```
data_PuF3
_chemical_formula_sum 'Pu2 F6'
_space_group_name_H-M_alt 'P 1'
_space_group_IT_number 1
_space_group_name_Hall 'P 1'
_cell_length_a 5.950
_cell_length_b 3.661
_cell_length_c 5.951
_cell_angle_alpha 90.00
_cell_angle_beta 119.92
_cell_angle_gamma 90.00
loop_
_atom_site_label
_atom_site_fract_x
_atom_site_fract_y
_atom_site_fract_z
Pu1 0.167 0.250 0.333
Pu2 0.833 0.750 0.667
F1 0.111 0.250 0.698
F2 0.198 0.750 0.087
F3 0.413 0.750 0.611
F4 0.587 0.250 0.389
F5 0.802 0.250 0.913
F6 0.889 0.750 0.302
```

=====

Record 8
Theoretical PXRD pattern of RbU3F13 for Cu Kα (λ = 1.5418 Å), from DFT lattice parameters and positions (PBE).

Largest 8 diffraction maxima, by angle, 15° ≤ 2θ ≤ 90°:
2θ 24.64, I = 73.8
2θ 25.82, I = 100.0
2θ 26.90, I = 89.3
2θ 27.98, I = 69.5
2θ 31.28, I = 49.0
2θ 45.50, I = 57.4
2θ 47.30, I = 81.9
2θ 49.47, I = 37.0

Structural model:
```
data_RbU3F13
_chemical_formula_sum 'Rb2 U6 F26'
_space_group_name_H-M_alt 'P 1'
_space_group_IT_number 1
_space_group_name_Hall 'P 1'
_cell_length_a 7.854
_cell_length_b 7.224
_cell_length_c 8.345
_cell_angle_alpha 90.00
_cell_angle_beta 90.00
_cell_angle_gamma 90.00
loop_
_atom_site_label
_atom_site_fract_x
_atom_site_fract_y
_atom_site_fract_z
Rb1 0.000 0.104 0.000
Rb2 0.000 0.896 0.500
U1 0.245 0.396 0.362
U2 0.245 0.604 0.862
U3 0.500 0.111 0.701
U4 0.500 0.889 0.201
U5 0.755 0.396 0.362
U6 0.755 0.604 0.862
F1 0.000 0.223 0.327
F2 0.000 0.429 0.844
F3 0.000 0.571 0.344
F4 0.000 0.777 0.827
F5 0.190 0.449 0.102
F6 0.190 0.551 0.602
F7 0.235 0.180 0.562
F8 0.235 0.820 0.062
F9 0.300 0.110 0.243
F10 0.300 0.890 0.743
F11 0.327 0.305 0.843
F12 0.327 0.695 0.343
F13 0.500 0.034 0.969
F14 0.500 0.367 0.522
F15 0.500 0.395 0.231
F16 0.500 0.605 0.731
F17 0.500 0.633 0.022
F18 0.500 0.966 0.469
F19 0.673 0.305 0.843
F20 0.673 0.695 0.343
F21 0.700 0.110 0.243
F22 0.700 0.890 0.743
F23 0.765 0.180 0.562
F24 0.765 0.820 0.062
F25 0.810 0.449 0.102
F26 0.810 0.551 0.602
```

=====

Record 9
Theoretical PXRD pattern of Rb3UF6 for Cu Kα (λ = 1.5418 Å), from DFT lattice parameters and positions (PBE).

Largest 8 diffraction maxima, by angle, 15° ≤ 2θ ≤ 90°:
2θ 16.38, I = 18.0
2θ 16.57, I = 17.0
2θ 18.80, I = 15.5
2θ 26.48, I = 20.5
2θ 26.93, I = 21.2
2θ 27.26, I = 100.0
2θ 38.13, I = 28.8
2θ 47.78, I = 23.3

Structural model:
```
data_Rb3UF6
_chemical_formula_sum 'Rb3 U1 F6'
_space_group_name_H-M_alt 'P 1'
_space_group_IT_number 1
_space_group_name_Hall 'P 1'
_cell_length_a 6.539
_cell_length_b 6.539
_cell_length_c 6.731
_cell_angle_alpha 120.79
_cell_angle_beta 120.79
_cell_angle_gamma 60.83
loop_
_atom_site_label
_atom_site_fract_x
_atom_site_fract_y
_atom_site_fract_z
Rb1 0.000 0.000 0.000
Rb2 0.264 0.235 0.736
Rb3 0.765 0.736 0.264
U1 0.492 0.508 0.500
F1 0.183 0.371 0.149
F2 0.203 0.639 0.668
F3 0.361 0.797 0.332
F4 0.629 0.817 0.851
F5 0.677 0.187 0.641
F6 0.813 0.323 0.359
```

=====

Record 10
Theoretical PXRD pattern of RbZn2F5 for Cu Kα (λ = 1.5418 Å), from DFT lattice parameters and positions (PBE).

Largest 8 diffraction maxima, by angle, 15° ≤ 2θ ≤ 90°:
2θ 28.81, I = 100.0
2θ 29.99, I = 26.3
2θ 30.44, I = 32.0
2θ 31.99, I = 32.4
2θ 32.11, I = 35.4
2θ 33.24, I = 18.4
2θ 35.62, I = 36.0
2θ 51.97, I = 22.8

Structural model:
```
data_RbZn2F5
_chemical_formula_sum 'Rb4 Zn8 F20'
_space_group_name_H-M_alt 'P 1'
_space_group_IT_number 1
_space_group_name_Hall 'P 1'
_cell_length_a 7.026
_cell_length_b 7.258
_cell_length_c 10.268
_cell_angle_alpha 90.00
_cell_angle_beta 121.99
_cell_angle_gamma 90.00
loop_
_atom_site_label
_atom_site_fract_x
_atom_site_fract_y
_atom_site_fract_z
Rb1 0.116 0.043 0.383
Rb2 0.116 0.457 0.883
Rb3 0.884 0.543 0.117
Rb4 0.884 0.957 0.617
Zn1 0.000 0.000 0.000
Zn2 0.000 0.500 0.500
Zn3 0.489 0.243 0.275
Zn4 0.489 0.257 0.775
Zn5 0.500 0.000 0.000
Zn6 0.500 0.500 0.500
Zn7 0.511 0.743 0.225
Zn8 0.511 0.757 0.725
F1 0.161 0.223 0.141
F2 0.161 0.277 0.641
F3 0.184 0.045 0.909
F4 0.184 0.455 0.409
F5 0.210 0.678 0.668
F6 0.210 0.822 0.168
F7 0.420 0.512 0.272
F8 0.420 0.988 0.772
F9 0.467 0.716 0.017
F10 0.467 0.784 0.517
F11 0.533 0.216 0.483
F12 0.533 0.284 0.983
F13 0.580 0.012 0.228
F14 0.580 0.488 0.728
F15 0.790 0.178 0.832
F16 0.790 0.322 0.332
F17 0.816 0.545 0.591
F18 0.816 0.955 0.091
F19 0.839 0.723 0.359
F20 0.839 0.777 0.859
```

=====

Record 11
Theoretical PXRD pattern of ReF4 for Cu Kα (λ = 1.5418 Å), from DFT lattice parameters and positions (PBE).

Largest 8 diffraction maxima, by angle, 15° ≤ 2θ ≤ 90°:
2θ 21.44, I = 100.0
2θ 27.22, I = 56.3
2θ 34.50, I = 31.6
2θ 35.31, I = 29.6
2θ 39.05, I = 23.4
2θ 44.82, I = 15.7
2θ 55.72, I = 15.9
2θ 56.56, I = 21.7

Structural model:
```
data_ReF4
_chemical_formula_sum 'Re2 F8'
_space_group_name_H-M_alt 'P 1'
_space_group_IT_number 1
_space_group_name_Hall 'P 1'
_cell_length_a 5.426
_cell_length_b 5.279
_cell_length_c 6.557
_cell_angle_alpha 53.26
_cell_angle_beta 51.22
_cell_angle_gamma 75.52
loop_
_atom_site_label
_atom_site_fract_x
_atom_site_fract_y
_atom_site_fract_z
Re1 0.000 0.000 0.000
Re2 0.250 0.250 0.250
F1 0.230 0.327 0.926
F2 0.234 0.805 0.431
F3 0.324 0.733 0.020
F4 0.327 0.230 0.517
F5 0.720 0.819 0.445
F6 0.733 0.324 0.923
F7 0.805 0.234 0.530
F8 0.819 0.720 0.016
```